(1)
Diffraction record for La2Ho2Zn. The PXRD pattern is computed, not measured: it uses a DFT-relaxed cell (GGA-PBE, Alexandria) and copper Kα.
Peak positions follow from Bragg's law for the DFT cell and can differ from measured ones.

```
La2Ho2Zn
1.0
3.6158 0.0000 0.0000
0.0000 3.6158 0.0000
0.0000 0.0000 22.9044
La Ho Zn
4 4 2
direct
0.0000 0.0000 0.1904 La
0.0000 0.0000 0.8096 La
0.5000 0.5000 0.3096 La
0.5000 0.5000 0.6904 La
0.0000 0.0000 0.4250 Ho
0.0000 0.0000 0.5750 Ho
0.5000 0.5000 0.0750 Ho
0.5000 0.5000 0.9250 Ho
0.0000 0.0000 0.0000 Zn
0.5000 0.5000 0.5000 Zn
```

Principal peaks in the range 2θ = 15–90°, sorted by position:
two_theta  I/Imax
27.3  234
31.2  172
31.5  1000
35.1  533
37.1  136
47.7  234
50.5  189
58.3  207
60.6  142
60.7  304
80.7  130
84.8  90

(2)
Diffraction record for LiHoLuMn. The PXRD pattern is computed, not measured: it uses a DFT-relaxed cell (GGA-PBE, Alexandria) and copper Kα.
Peak positions follow from Bragg's law for the DFT cell and can differ from measured ones.

```
LiHoLuMn
1.0
6.9953 0.0000 0.0000
0.0000 6.9953 0.0000
0.0000 0.0000 6.9953
Li Ho Lu Mn
4 4 4 4
direct
0.0000 0.0000 0.0000 Li
0.0000 0.5000 0.5000 Li
0.5000 0.0000 0.5000 Li
0.5000 0.5000 0.0000 Li
0.2500 0.2500 0.7500 Ho
0.2500 0.7500 0.2500 Ho
0.7500 0.2500 0.2500 Ho
0.7500 0.7500 0.7500 Ho
0.2500 0.2500 0.2500 Lu
0.2500 0.7500 0.7500 Lu
0.7500 0.2500 0.7500 Lu
0.7500 0.7500 0.2500 Lu
0.0000 0.0000 0.5000 Mn
0.0000 0.5000 0.0000 Mn
0.5000 0.0000 0.0000 Mn
0.5000 0.5000 0.5000 Mn
```

Principal peaks in the range 2θ = 15–90°, sorted by position:
two_theta  I/Imax
22.0  43
25.5  593
36.3  1000
42.9  21
44.9  179
52.3  175
57.4  8
59.1  243
65.4  356
77.1  110
82.8  120
88.4  161

(3)
Diffraction record for Li6HoMg8. The PXRD pattern is computed, not measured: it uses a DFT-relaxed cell (GGA-PBE, Alexandria) and copper Kα.
Peak positions follow from Bragg's law for the DFT cell and can differ from measured ones.

```
Li6HoMg8
1.0
4.1047 2.3698 5.9354
-4.1047 2.3698 5.9354
0.0000 -4.7396 5.9354
Li Ho Mg
6 1 8
direct
0.1171 0.3794 0.6211 Li
0.3794 0.6211 0.1171 Li
0.3789 0.8829 0.6206 Li
0.6211 0.1171 0.3794 Li
0.6206 0.3789 0.8829 Li
0.8829 0.6206 0.3789 Li
0.0000 0.0000 0.0000 Ho
0.1402 0.8282 0.4146 Mg
0.1718 0.5854 0.8598 Mg
0.2430 0.2430 0.2430 Mg
0.4146 0.1402 0.8282 Mg
0.5854 0.8598 0.1718 Mg
0.7570 0.7570 0.7570 Mg
0.8282 0.4146 0.1402 Mg
0.8598 0.1718 0.5854 Mg
```

Principal peaks in the range 2θ = 15–90°, sorted by position:
two_theta  I/Imax
16.0  448
21.7  302
23.6  469
25.6  297
26.4  1000
28.0  243
32.2  443
33.7  296
35.7  207
37.4  281
38.0  513
39.2  457

(4)
Diffraction record for LiHo3Mg4. The PXRD pattern is computed, not measured: it uses a DFT-relaxed cell (GGA-PBE, Alexandria) and copper Kα.
Peak positions follow from Bragg's law for the DFT cell and can differ from measured ones.

```
LiHo3Mg4
1.0
3.6885 0.0000 0.0000
0.0000 3.6885 0.0000
0.0000 0.0000 15.0725
Li Ho Mg
1 3 4
direct
0.0000 0.0000 0.0000 Li
0.0000 0.0000 0.2467 Ho
0.0000 0.0000 0.5000 Ho
0.0000 0.0000 0.7533 Ho
0.5000 0.5000 0.1093 Mg
0.5000 0.5000 0.3730 Mg
0.5000 0.5000 0.6270 Mg
0.5000 0.5000 0.8907 Mg
```

Principal peaks in the range 2θ = 15–90°, sorted by position:
two_theta  I/Imax
23.6  276
24.1  516
24.9  153
26.9  145
30.1  145
34.0  1000
34.4  494
42.1  246
49.4  177
54.7  121
60.6  179
61.3  363

(5)
Diffraction record for LiHo2Mg7. The PXRD pattern is computed, not measured: it uses a DFT-relaxed cell (GGA-PBE, Alexandria) and copper Kα.
Peak positions follow from Bragg's law for the DFT cell and can differ from measured ones.

```
LiHo2Mg7
1.0
0.0000 5.0171 5.0171
5.0171 0.0000 5.0171
5.0171 5.0171 0.0000
Li Ho Mg
1 2 7
direct
0.0000 0.0000 0.0000 Li
0.2500 0.2500 0.2500 Ho
0.7500 0.7500 0.7500 Ho
0.2382 0.2382 0.7618 Mg
0.2382 0.7618 0.2382 Mg
0.2382 0.7618 0.7618 Mg
0.5000 0.5000 0.5000 Mg
0.7618 0.2382 0.2382 Mg
0.7618 0.2382 0.7618 Mg
0.7618 0.7618 0.2382 Mg
```

Principal peaks in the range 2θ = 15–90°, sorted by position:
two_theta  I/Imax
17.7  695
25.1  1000
30.9  851
35.8  554
40.2  374
44.2  440
51.5  385
54.9  193
58.1  206
61.3  348
70.2  232
86.8  165

(6)
Diffraction record for LiHo2Mg3. The PXRD pattern is computed, not measured: it uses a DFT-relaxed cell (GGA-PBE, Alexandria) and copper Kα.
Peak positions follow from Bragg's law for the DFT cell and can differ from measured ones.

```
LiHo2Mg3
1.0
3.6423 0.0000 0.0000
0.0000 3.6423 0.0000
0.0000 0.0000 11.3546
Li Ho Mg
1 2 3
direct
0.0000 0.0000 0.0000 Li
0.0000 0.0000 0.3320 Ho
0.0000 0.0000 0.6680 Ho
0.5000 0.5000 0.1453 Mg
0.5000 0.5000 0.5000 Mg
0.5000 0.5000 0.8547 Mg
```

Principal peaks in the range 2θ = 15–90°, sorted by position:
two_theta  I/Imax
15.6  225
23.5  259
24.4  457
25.7  331
29.1  286
34.2  1000
34.8  484
35.7  121
42.5  225
50.1  173
60.7  178
62.0  355

(7)
Diffraction record for Li2Ho3Mg7. The PXRD pattern is computed, not measured: it uses a DFT-relaxed cell (GGA-PBE, Alexandria) and copper Kα.
Peak positions follow from Bragg's law for the DFT cell and can differ from measured ones.

```
Li2Ho3Mg7
1.0
3.0062 1.7356 9.3690
-3.0062 1.7356 9.3690
0.0000 -3.4712 9.3690
Li Ho Mg
2 3 7
direct
0.1662 0.1662 0.1662 Li
0.8338 0.8338 0.8338 Li
0.3598 0.3598 0.3598 Ho
0.5000 0.5000 0.5000 Ho
0.6402 0.6402 0.6402 Ho
0.0000 0.0000 0.0000 Mg
0.0828 0.0828 0.5760 Mg
0.0828 0.5760 0.0828 Mg
0.4240 0.9172 0.9172 Mg
0.5760 0.0828 0.0828 Mg
0.9172 0.4240 0.9172 Mg
0.9172 0.9172 0.4240 Mg
```

Principal peaks in the range 2θ = 15–90°, sorted by position:
two_theta  I/Imax
17.3  1000
28.1  934
29.7  717
30.7  606
34.6  484
35.5  732
48.6  233
51.7  351
53.4  249
56.5  191
58.0  331
61.7  183

(8)
Diffraction record for LiHo4Mg2. The PXRD pattern is computed, not measured: it uses a DFT-relaxed cell (GGA-PBE, Alexandria) and copper Kα.
Peak positions follow from Bragg's law for the DFT cell and can differ from measured ones.

```
LiHo4Mg2
1.0
2.6366 1.5223 8.4272
-2.6366 1.5223 8.4272
0.0000 -3.0445 8.4272
Li Ho Mg
1 4 2
direct
0.0000 0.0000 0.0000 Li
0.1281 0.1281 0.1281 Ho
0.3810 0.3810 0.3810 Ho
0.6190 0.6190 0.6190 Ho
0.8719 0.8719 0.8719 Ho
0.2548 0.2548 0.2548 Mg
0.7452 0.7452 0.7452 Mg
```

Principal peaks in the range 2θ = 15–90°, sorted by position:
two_theta  I/Imax
24.0  1000
34.0  597
34.5  541
42.1  232
49.2  199
55.2  211
55.9  181
60.9  112
61.2  208
62.2  83
76.7  81
81.9  91